BaLaZnRuO6: computed XRD peak list (Cu Ka), based on a DFT-relaxed cell (GGA-PBE, the Materials Project).
Intensities are scaled so that the largest is 100.

Structure:
```
data_BaLaZnRuO6
_chemical_formula_sum 'Ba1 La1 Zn1 Ru1 O6'
_symmetry_space_group_name_H-M 'P 1'
_symmetry_Int_Tables_number 1
_symmetry_space_group_name_Hall 'P 1'
_cell_length_a 5.695
_cell_length_b 5.717
_cell_length_c 5.721
_cell_angle_alpha 90.43
_cell_angle_beta 119.35
_cell_angle_gamma 119.75
loop_
_atom_site_label
_atom_site_type_symbol
_atom_site_fract_x
_atom_site_fract_y
_atom_site_fract_z
Ba1 Ba 0.000 0.000 0.000
La1 La 0.983 0.499 0.486
Zn1 Zn 0.493 0.251 0.749
Ru1 Ru 0.500 0.750 0.252
O1 O 0.018 0.536 0.056
O2 O 0.411 0.511 0.918
O3 O 0.513 0.474 0.460
O4 O 0.548 0.991 0.539
O5 O 0.551 0.055 0.073
O6 O 0.986 0.929 0.472
```

Principal peaks in the range 10 to 90 degrees two-theta, in order of rising 2θ:
2θ/deg	I_rel
31.06	65
31.27	100
31.42	33
44.61	39
45.01	18
55.53	21

Te2Ir: computed XRD peak list (Cu Ka), based on a DFT-relaxed cell (GGA-PBE, the Materials Project).
Intensities are scaled so that the largest is 100.

Structure:
```
data_Te2Ir
_chemical_formula_sum 'Te16 Ir8'
_symmetry_space_group_name_H-M 'P n m a'
_symmetry_Int_Tables_number 62
_symmetry_space_group_name_Hall '-P 2ac 2n'
_cell_length_a 22.917
_cell_length_b 4.075
_cell_length_c 6.469
_cell_angle_alpha 90.00
_cell_angle_beta 90.00
_cell_angle_gamma 90.00
loop_
_atom_site_label
_atom_site_type_symbol
_atom_site_fract_x
_atom_site_fract_y
_atom_site_fract_z
Te1 Te 0.009 0.250 0.221
Te2 Te 0.122 0.750 0.449
Te3 Te 0.136 0.250 0.923
Te4 Te 0.241 0.250 0.189
Ir1 Ir 0.076 0.750 0.068
Ir2 Ir 0.194 0.250 0.561
```

Principal peaks in the range 10 to 90 degrees two-theta, in order of rising 2θ:
2θ/deg	I_rel
26.85	99
30.25	100
31.77	56
44.22	97
44.47	58
47.72	67